The following is a simulated powder XRD pattern of Tl4CrI6. It was derived from a crystal structure in the Materials Project, relaxed with PBE, using CuKα.
Peak positions follow from Bragg's law for the DFT cell and can differ from measured ones.

Most intense lines, 2θ = 10–90°, sorted by position:
Position (°2θ)  d_spacing  Rel. int.
27.6  3.236  100
28.1  3.175  96
29.8  2.999  43
30.5  2.927  31
36.1  2.488  33
47.5  1.915  23

Crystal structure
a b c (Å): 9.375 9.375 9.952
angles (deg): 90.00 90.00 92.34
Sites, in units of the cell vectors:
Tl: 0.143 0.857 0.250
Tl: 0.143 0.857 0.750
Tl: 0.342 0.342 0.250
Tl: 0.342 0.342 0.750
Tl: 0.658 0.658 0.250
Tl: 0.658 0.658 0.750
Tl: 0.857 0.143 0.250
Tl: 0.857 0.143 0.750
Cr: 0.000 0.500 0.000
Cr: 0.500 0.000 0.500
I: 0.000 0.500 0.276
I: 0.000 0.500 0.724
I: 0.146 0.182 0.000
I: 0.182 0.146 0.500
I: 0.274 0.630 0.000
I: 0.370 0.726 0.500
I: 0.500 0.000 0.224
I: 0.500 0.000 0.776
I: 0.630 0.274 0.500
I: 0.726 0.370 0.000
I: 0.818 0.854 0.500
I: 0.854 0.818 0.000

The following is a simulated powder XRD pattern of TbPPt. It was derived from a crystal structure in the Materials Project, relaxed with PBE, using CuKα.
Peak positions follow from Bragg's law for the DFT cell and can differ from measured ones.

Most intense lines, 2θ = 10–90°, sorted by position:
Position (°2θ)  d_spacing  Rel. int.
24.8  3.589  25
33.9  2.642  100
43.7  2.072  39
56.4  1.630  24
65.7  1.421  23
74.0  1.281  21

Crystal structure
a b c (Å): 4.144 4.144 3.904
angles (deg): 90.00 90.00 120.00
Sites, in units of the cell vectors:
Tb: 0.000 0.000 0.000
P: 0.667 0.333 0.500
Pt: 0.333 0.667 0.500

The following is a simulated powder XRD pattern of MgSc2S4. It was derived from a crystal structure in the Materials Project, relaxed with PBE, using CuKα.
Peak positions follow from Bragg's law for the DFT cell and can differ from measured ones.

Most intense lines, 2θ = 10–90°, sorted by position:
Position (°2θ)  d_spacing  Rel. int.
19.6  4.518  44
28.6  3.121  44
31.1  2.876  95
31.3  2.857  51
39.9  2.260  100
49.1  1.854  62

Crystal structure
a b c (Å): 12.810 7.477 6.327
angles (deg): 90.00 90.00 90.00
Sites, in units of the cell vectors:
Mg: 0.094 0.250 0.074
Mg: 0.406 0.750 0.574
Mg: 0.594 0.250 0.426
Mg: 0.906 0.750 0.926
Sc: 0.000 0.000 0.500
Sc: 0.000 0.500 0.500
Sc: 0.234 0.750 0.997
Sc: 0.266 0.250 0.497
Sc: 0.500 0.000 0.000
Sc: 0.500 0.500 0.000
Sc: 0.734 0.750 0.503
Sc: 0.766 0.250 0.003
S: 0.077 0.750 0.745
S: 0.091 0.250 0.698
S: 0.170 0.501 0.266
S: 0.170 0.999 0.266
S: 0.330 0.001 0.766
S: 0.330 0.499 0.766
S: 0.409 0.750 0.198
S: 0.423 0.250 0.245
S: 0.577 0.750 0.755
S: 0.591 0.250 0.802
S: 0.670 0.501 0.234
S: 0.670 0.999 0.234
S: 0.830 0.001 0.734
S: 0.830 0.499 0.734
S: 0.909 0.750 0.302
S: 0.923 0.250 0.255

The following is a simulated powder XRD pattern of HfTiFe4. It was derived from a crystal structure in the Materials Project, relaxed with PBE, using CuKα.
Peak positions follow from Bragg's law for the DFT cell and can differ from measured ones.

Most intense lines, 2θ = 10–90°, sorted by position:
Position (°2θ)  d_spacing  Rel. int.
11.2  7.907  69
31.0  2.887  37
36.9  2.439  56
40.3  2.236  97
43.6  2.076  100
44.4  2.041  74

Crystal structure
a b c (Å): 4.878 4.878 7.907
angles (deg): 90.00 90.00 120.00
Sites, in units of the cell vectors:
Hf: 0.333 0.667 0.068
Hf: 0.667 0.333 0.932
Ti: 0.333 0.667 0.444
Ti: 0.667 0.333 0.556
Fe: 0.000 0.000 0.000
Fe: 0.000 0.000 0.500
Fe: 0.169 0.339 0.745
Fe: 0.169 0.831 0.745
Fe: 0.339 0.169 0.255
Fe: 0.661 0.831 0.745
Fe: 0.831 0.169 0.255
Fe: 0.831 0.661 0.255

The following is a simulated powder XRD pattern of SrOs7N10. It was derived from a crystal structure in the Materials Project, relaxed with PBE, using CuKα.
Peak positions follow from Bragg's law for the DFT cell and can differ from measured ones.

Most intense lines, 2θ = 10–90°, sorted by position:
Position (°2θ)  d_spacing  Rel. int.
13.3  6.655  78
28.2  3.164  100
29.4  3.037  78
35.4  2.538  75
36.3  2.475  93
38.9  2.316  74

Crystal structure
a b c (Å): 7.008 7.360 10.538
angles (deg): 90.00 108.28 90.00
Sites, in units of the cell vectors:
Sr: 0.000 0.043 0.000
Sr: 0.000 0.957 0.500
Os: 0.311 0.344 0.415
Os: 0.311 0.656 0.915
Os: 0.398 0.309 0.709
Os: 0.398 0.691 0.209
Os: 0.463 0.021 0.353
Os: 0.463 0.979 0.853
Os: 0.618 0.388 0.007
Os: 0.618 0.612 0.507
Os: 0.647 0.053 0.660
Os: 0.647 0.947 0.160
Os: 0.778 0.375 0.339
Os: 0.778 0.625 0.839
Os: 0.993 0.393 0.625
Os: 0.993 0.607 0.125
N: 0.047 0.382 0.454
N: 0.047 0.618 0.954
N: 0.219 0.094 0.370
N: 0.219 0.906 0.870
N: 0.228 0.490 0.768
N: 0.228 0.510 0.268
N: 0.355 0.047 0.658
N: 0.355 0.953 0.158
N: 0.438 0.480 0.576
N: 0.438 0.520 0.076
N: 0.608 0.121 0.010
N: 0.608 0.879 0.510
N: 0.668 0.387 0.834
N: 0.668 0.613 0.334
N: 0.705 0.124 0.311
N: 0.705 0.876 0.811
N: 0.833 0.410 0.172
N: 0.833 0.590 0.672
N: 0.874 0.186 0.664
N: 0.874 0.814 0.164

The following is a simulated powder XRD pattern of Ca4Si3B5O20. It was derived from a crystal structure in the Materials Project, relaxed with PBE, using CuKα.
Peak positions follow from Bragg's law for the DFT cell and can differ from measured ones.

Most intense lines, 2θ = 10–90°, sorted by position:
Position (°2θ)  d_spacing  Rel. int.
23.6  3.767  60
26.5  3.365  64
28.2  3.167  87
29.0  3.080  64
30.9  2.898  100
41.8  2.162  59

Crystal structure
a b c (Å): 4.955 7.640 9.468
angles (deg): 90.03 91.91 90.14
Sites, in units of the cell vectors:
Ca: 0.000 0.000 0.000
Ca: 0.001 0.726 0.501
Ca: 0.993 0.234 0.659
Ca: 0.995 0.494 0.151
Si: 0.469 0.372 0.412
Si: 0.522 0.858 0.237
Si: 0.528 0.871 0.740
B: 0.430 0.022 0.496
B: 0.440 0.706 0.994
B: 0.492 0.367 0.914
B: 0.545 0.215 0.147
B: 0.557 0.514 0.664
O: 0.240 0.517 0.374
O: 0.253 0.215 0.126
O: 0.264 0.510 0.636
O: 0.267 0.243 0.885
O: 0.298 0.773 0.121
O: 0.299 0.948 0.624
O: 0.319 0.197 0.476
O: 0.346 0.819 0.877
O: 0.350 0.907 0.376
O: 0.356 0.522 0.976
O: 0.635 0.403 0.785
O: 0.640 0.321 0.272
O: 0.655 0.035 0.166
O: 0.669 0.693 0.679
O: 0.679 0.291 0.022
O: 0.694 0.442 0.534
O: 0.725 0.016 0.523
O: 0.733 0.717 0.022
O: 0.759 0.013 0.781
O: 0.763 0.722 0.277

The following is a simulated powder XRD pattern of Ta3Mo3N4. It was derived from a crystal structure in the Materials Project, relaxed with PBE, using CuKα.
Peak positions follow from Bragg's law for the DFT cell and can differ from measured ones.

Most intense lines, 2θ = 10–90°, sorted by position:
Position (°2θ)  d_spacing  Rel. int.
36.3  2.472  100
41.9  2.156  48
42.8  2.111  15
60.7  1.525  16
61.5  1.508  20
72.9  1.298  27

Crystal structure
a b c (Å): 3.049 3.049 12.667
angles (deg): 90.00 90.00 90.00
Sites, in units of the cell vectors:
Ta: 0.000 0.000 0.000
Ta: 0.000 0.000 0.293
Ta: 0.500 0.500 0.500
Mo: 0.000 0.000 0.651
Mo: 0.500 0.500 0.147
Mo: 0.500 0.500 0.794
N: 0.000 0.000 0.473
N: 0.000 0.000 0.822
N: 0.500 0.500 0.324
N: 0.500 0.500 0.970

The following is a simulated powder XRD pattern of Ba3Cu2Cl2O4. It was derived from a crystal structure in the Materials Project, relaxed with PBE, using CuKα.
Peak positions follow from Bragg's law for the DFT cell and can differ from measured ones.

Most intense lines, 2θ = 10–90°, sorted by position:
Position (°2θ)  d_spacing  Rel. int.
25.9  3.438  58
26.8  3.327  50
29.5  3.027  71
32.0  2.795  100
40.3  2.239  56
55.3  1.662  45

Crystal structure
a b c (Å): 6.654 6.053 10.734
angles (deg): 90.00 90.00 90.00
Sites, in units of the cell vectors:
Ba: 0.250 0.000 0.053
Ba: 0.250 0.000 0.703
Ba: 0.250 0.500 0.289
Ba: 0.750 0.000 0.297
Ba: 0.750 0.000 0.947
Ba: 0.750 0.500 0.711
Cu: 0.000 0.500 0.000
Cu: 0.250 0.500 0.832
Cu: 0.500 0.500 0.000
Cu: 0.750 0.500 0.168
Cl: 0.250 0.000 0.384
Cl: 0.250 0.500 0.586
Cl: 0.750 0.000 0.616
Cl: 0.750 0.500 0.414
O: 0.030 0.278 0.861
O: 0.030 0.722 0.861
O: 0.470 0.278 0.861
O: 0.470 0.722 0.861
O: 0.530 0.278 0.139
O: 0.530 0.722 0.139
O: 0.970 0.278 0.139
O: 0.970 0.722 0.139